# 1
The following is a computed XRD peak list of YHfPd4. It was derived from DFT lattice parameters and positions (GGA-PBE), using copper Kα.
Intensities are scaled so that the largest is 100.

abc: 6.775 4.078 16.438
angles: 90.00 90.00 90.00
Element x y z (fractional)
Y: 0.179 0.250 0.210
Y: 0.321 0.750 0.710
Y: 0.679 0.250 0.290
Y: 0.821 0.750 0.790
Hf: 0.192 0.750 0.475
Hf: 0.308 0.250 0.975
Hf: 0.692 0.750 0.025
Hf: 0.808 0.250 0.525
Pd: 0.041 0.750 0.942
Pd: 0.064 0.250 0.379
Pd: 0.136 0.250 0.824
Pd: 0.219 0.250 0.588
Pd: 0.281 0.750 0.088
Pd: 0.364 0.750 0.324
Pd: 0.436 0.750 0.879
Pd: 0.459 0.250 0.442
Pd: 0.541 0.750 0.558
Pd: 0.564 0.250 0.121
Pd: 0.636 0.250 0.676
Pd: 0.719 0.250 0.912
Pd: 0.781 0.750 0.412
Pd: 0.864 0.750 0.176
Pd: 0.936 0.750 0.621
Pd: 0.959 0.250 0.058

Main lines, most intense first (2θ = 10–80°):
37.57°, I 100
10.76°, I 75
38.25°, I 71
44.42°, I 58
36.16°, I 47
33.67°, I 30

---

# 2
The following is a computed XRD peak list of Hf3Zn7Pd2. It was derived from DFT lattice parameters and positions (GGA-PBE), using copper Kα.
Intensities are scaled so that the largest is 100.

abc: 8.973 8.973 8.973
angles: 33.48 33.48 33.48
Element x y z (fractional)
Hf: 0.000 0.000 0.000
Hf: 0.145 0.145 0.145
Hf: 0.855 0.855 0.855
Zn: 0.079 0.588 0.588
Zn: 0.412 0.412 0.921
Zn: 0.412 0.921 0.412
Zn: 0.500 0.500 0.500
Zn: 0.588 0.079 0.588
Zn: 0.588 0.588 0.079
Zn: 0.921 0.412 0.412
Pd: 0.335 0.335 0.335
Pd: 0.665 0.665 0.665

Main lines, most intense first (2θ = 10–80°):
40.91°, I 100
34.69°, I 62
31.75°, I 28
66.43°, I 23
42.78°, I 23
40.45°, I 22

---

# 3
The following is a computed XRD peak list of HfZnPd. It was derived from DFT lattice parameters and positions (GGA-PBE), using copper Kα.
Intensities are scaled so that the largest is 100.

abc: 4.381 8.948 5.276
angles: 90.00 90.00 90.00
Element x y z (fractional)
Hf: 0.000 0.201 0.250
Hf: 0.000 0.799 0.750
Hf: 0.500 0.299 0.750
Hf: 0.500 0.701 0.250
Zn: 0.000 0.500 0.000
Zn: 0.000 0.500 0.500
Zn: 0.500 0.000 0.000
Zn: 0.500 0.000 0.500
Pd: 0.000 0.110 0.750
Pd: 0.000 0.890 0.250
Pd: 0.500 0.390 0.250
Pd: 0.500 0.610 0.750

Main lines, most intense first (2θ = 10–80°):
41.20°, I 100
36.44°, I 65
40.38°, I 58
28.29°, I 35
39.66°, I 28
33.98°, I 26

---

Please write out number 3 again, unchanged.
The following is a computed XRD peak list of HfZnPd. It was derived from DFT lattice parameters and positions (GGA-PBE), using copper Kα.
Intensities are scaled so that the largest is 100.

abc: 4.381 8.948 5.276
angles: 90.00 90.00 90.00
Element x y z (fractional)
Hf: 0.000 0.201 0.250
Hf: 0.000 0.799 0.750
Hf: 0.500 0.299 0.750
Hf: 0.500 0.701 0.250
Zn: 0.000 0.500 0.000
Zn: 0.000 0.500 0.500
Zn: 0.500 0.000 0.000
Zn: 0.500 0.000 0.500
Pd: 0.000 0.110 0.750
Pd: 0.000 0.890 0.250
Pd: 0.500 0.390 0.250
Pd: 0.500 0.610 0.750

Main lines, most intense first (2θ = 10–80°):
41.20°, I 100
36.44°, I 65
40.38°, I 58
28.29°, I 35
39.66°, I 28
33.98°, I 26